Diffraction record for Ac6TlAg2. The X-ray diffraction stick pattern is calculated, not measured: it uses a GGA-PBE-relaxed structure and Cu Kα X-rays.
Lines closer than 0.1° are merged.

Principal peaks in the range 2θ = 5–70°, by angle:
2theta  I/Imax
28.0  100
29.9  42
30.1  55
30.6  43
33.7  31
52.1  28

Structure:
```
Ac6TlAg2
1.0
-5.3266 5.5155 5.7426
5.3266 -5.5155 5.7426
5.3266 5.5155 -5.7426
Ac Tl Ag
12 2 4
Cartesian
5.3266 3.3649 -2.9553
2.9232 2.0021 0.0000
7.7300 2.0021 0.0000
2.1849 5.5155 -2.0225
3.1417 0.0000 3.7201
0.0000 2.1506 2.7872
5.3266 3.3649 2.9553
2.1849 5.5155 2.0225
3.1417 0.0000 7.7650
-2.4034 3.5135 5.7426
2.4034 3.5135 5.7426
0.0000 2.1506 8.6979
0.0000 0.0000 0.0000
0.0000 0.0000 5.7426
5.3266 0.0000 1.4217
0.0000 3.9077 0.0000
0.0000 7.1234 0.0000
0.0000 5.5155 4.3209
```

Diffraction record for AcTl2Ag9. The X-ray diffraction stick pattern is calculated, not measured: it uses a GGA-PBE-relaxed structure and Cu Kα X-rays.
Lines closer than 0.1° are merged.

Principal peaks in the range 2θ = 5–70°, by angle:
2theta  I/Imax
28.8  29
31.2  36
31.4  22
36.4  30
36.9  100
59.3  30

Structure:
```
AcTl2Ag9
1.0
2.8638 1.6534 9.2847
-2.8638 1.6534 9.2847
0.0000 -3.3068 9.2847
Ac Tl Ag
1 2 9
Cartesian
0.0000 0.0000 0.0000
0.0000 0.0000 3.9775
0.0000 0.0000 23.8765
-1.4441 -0.8337 11.6243
0.0000 0.0000 9.2890
0.0000 -1.6675 16.2297
-1.4441 0.8337 16.2297
0.0000 0.0000 13.9270
1.4441 -0.8337 11.6243
0.0000 1.6675 11.6243
0.0000 0.0000 18.5650
1.4441 0.8337 16.2297
```

Diffraction record for Ac6Tl6Ag. The X-ray diffraction stick pattern is calculated, not measured: it uses a GGA-PBE-relaxed structure and Cu Kα X-rays.
Lines closer than 0.1° are merged.

Principal peaks in the range 2θ = 5–70°, by angle:
2theta  I/Imax
25.7  29
29.8  32
30.2  37
31.3  33
33.7  100
62.7  28

Structure:
```
Ac6Tl6Ag
1.0
6.9273 0.0000 0.0000
-3.4637 5.9992 0.0000
0.0000 0.0000 11.4483
Ac Tl Ag
6 6 1
Cartesian
0.0000 0.0000 2.4205
0.0000 0.0000 9.0278
0.0000 3.9995 0.0000
0.0000 3.9995 5.7241
3.4637 1.9997 0.0000
3.4637 1.9997 5.7241
-1.7318 2.9996 2.8633
-1.7318 2.9996 8.5850
3.4637 0.0000 2.8633
3.4637 0.0000 8.5850
1.7318 2.9996 2.8633
1.7318 2.9996 8.5850
0.0000 0.0000 5.7241
```

Diffraction record for Ac3Tl2Ag. The X-ray diffraction stick pattern is calculated, not measured: it uses a GGA-PBE-relaxed structure and Cu Kα X-rays.
Lines closer than 0.1° are merged.

Principal peaks in the range 2θ = 5–70°, by angle:
2theta  I/Imax
30.8  25
31.0  25
31.1  100
44.2  19
54.9  19
55.1  20

Structure:
```
Ac3Tl2Ag
1.0
5.7754 0.0000 0.0000
0.0000 17.4186 0.0000
0.0000 0.0000 4.0473
Ac Tl Ag
6 4 2
Cartesian
0.0000 0.0000 0.0000
0.0000 5.9300 0.0000
0.0000 11.4886 0.0000
2.8877 2.7793 0.0000
2.8877 8.7093 0.0000
2.8877 14.6393 0.0000
0.0000 2.9340 2.0236
0.0000 14.4846 2.0236
2.8877 5.7753 2.0236
2.8877 11.6433 2.0236
0.0000 8.7093 2.0236
2.8877 0.0000 2.0236
```